Simulated powder diffraction line list
Compound: Mg7Hg2Pb3
Radiation: Cu Ka
Structure: a PBE-relaxed structure
Lines closer than 0.1° are merged.

Structural model:
```
Mg7Hg2Pb3
1.0
2.436 -15.385 0.000
2.436 15.385 0.000
0.000 0.000 4.103
Mg Hg Pb
7 2 3
direct
0.000 0.000 0.000
0.074 0.926 0.500
0.225 0.775 0.000
0.416 0.584 0.000
0.584 0.416 0.000
0.775 0.225 0.000
0.926 0.074 0.500
0.136 0.864 0.000
0.864 0.136 0.000
0.316 0.684 0.500
0.500 0.500 0.500
0.684 0.316 0.500
```

Principal peaks in the range 2θ from 10° to 80°, sorted by position:
2theta, intensity
17.3, 77
23.3, 100
28.6, 93
29.8, 70
32.0, 61
35.1, 53
36.9, 52
37.1, 81